Record 1
This entry pairs a crystal structure of ZnSO10 with its simulated powder diffractogram. Radiation: Cu Ka. Structure: a cell relaxed with GGA-PBE.
No peak broadening, texture or thermal motion is included.

Cell and atoms:
Lattice parameters (Å, degrees): 8.4526 6.3768 24.2271 90.00 94.47 90.00
Space group C2/c (No. 15)
Unique sites:
Zn (0.0000, 0.0000, 0.0000)
Zn (0.0000, 0.0758, 0.2500)
S (0.1466, 0.4708, 0.8856)
O (0.0129, 0.1398, 0.0727)
O (0.0302, 0.4619, 0.8377)
O (0.0671, 0.4829, 0.4389)
O (0.1349, 0.2645, 0.5377)
O (0.1474, 0.1759, 0.7259)
O (0.1696, 0.2552, 0.2168)
O (0.1924, 0.0618, 0.3013)
O (0.2266, 0.2625, 0.8940)
O (0.2308, 0.0299, 0.9835)
O (0.2343, 0.1398, 0.6217)

The 6 most intense peaks (5° ≤ 2θ ≤ 70°), by angle:
- hkl 0 0 4, 14.67 deg, rel. 205
- hkl 1 1 0, 17.44 deg, rel. 165
- hkl 1 1 2, 19.26 deg, rel. 177
- hkl 1 1 -4, 22.32 deg, rel. 1000
- hkl 1 1 4, 23.40 deg, rel. 429
- hkl 1 1 8, 35.30 deg, rel. 357

---

Record 2
This entry pairs a crystal structure of ZnSO4 with its simulated powder diffractogram. Radiation: Cu Ka. Structure: a cell relaxed with GGA-PBE.
No peak broadening, texture or thermal motion is included.

Cell and atoms:
Lattice parameters (Å, degrees): 8.6994 6.8348 4.8458 90.00 90.00 90.00
Space group Pnma (No. 62)
Unique sites:
Zn (0.0000, 0.0000, 0.0000)
S (0.1777, 0.2500, 0.4676)
O (0.1242, 0.2500, 0.7602)
O (0.1254, 0.0691, 0.3303)
O (0.1479, 0.7500, 0.9538)

The 6 most intense peaks (5° ≤ 2θ ≤ 70°), by angle:
- hkl 1 0 1, 20.99 deg, rel. 949
- hkl 1 1 1, 24.74 deg, rel. 1000
- hkl 2 2 0, 33.34 deg, rel. 902
- hkl 1 2 1, 33.71 deg, rel. 869
- hkl 3 0 1, 36.10 deg, rel. 760
- hkl 2 2 2, 50.73 deg, rel. 492

---

Record 3
This entry pairs a crystal structure of Zn2SO6 with its simulated powder diffractogram. Radiation: Cu Ka. Structure: a cell relaxed with GGA-PBE.
No peak broadening, texture or thermal motion is included.

Cell and atoms:
Lattice parameters (Å, degrees): 4.9079 6.4173 14.2920 90.00 90.00 90.00
Space group P2_12_12_1 (No. 19)
Unique sites:
Zn (0.0001, 0.1410, 0.2465)
Zn (0.1628, 0.3724, 0.4410)
S (0.0119, 0.1085, 0.8678)
O (0.0318, 0.6058, 0.5298)
O (0.0433, 0.1396, 0.5254)
O (0.0589, 0.8863, 0.1684)
O (0.1629, 0.3001, 0.8428)
O (0.1640, 0.9180, 0.8380)
O (0.2385, 0.3922, 0.1801)

The 6 most intense peaks (5° ≤ 2θ ≤ 70°), by angle:
- hkl 1 0 1, 19.12 deg, rel. 430
- hkl 0 1 3, 23.25 deg, rel. 288
- hkl 1 1 1, 23.66 deg, rel. 606
- hkl 1 0 3, 26.05 deg, rel. 961
- hkl 0 2 3, 33.68 deg, rel. 1000
- hkl 1 0 5, 36.37 deg, rel. 391

---

Record 4
This entry pairs a crystal structure of Zn2S2O11 with its simulated powder diffractogram. Radiation: Cu Ka. Structure: a cell relaxed with GGA-PBE.
No peak broadening, texture or thermal motion is included.

Cell and atoms:
Lattice parameters (Å, degrees): 7.3247 9.0233 9.3903 91.95 98.30 97.46
Space group P-1 (No. 2)
Unique sites:
Zn (0.0000, 0.0000, 0.0000)
Zn (0.0074, 0.5065, 0.7306)
Zn (0.5000, 0.5000, 0.5000)
S (0.1325, 0.2901, 0.5174)
S (0.2444, 0.6128, 0.0338)
O (0.0027, 0.3132, 0.6269)
O (0.0321, 0.3112, 0.3676)
O (0.1376, 0.7399, 0.0290)
O (0.1986, 0.1031, 0.1018)
O (0.2082, 0.5099, 0.1535)
O (0.2199, 0.5229, 0.8921)
O (0.2511, 0.9858, 0.7841)
O (0.2756, 0.4460, 0.5558)
O (0.4022, 0.8317, 0.5018)
O (0.4184, 0.9968, 0.8328)
O (0.4594, 0.7606, 0.6049)

The 6 most intense peaks (5° ≤ 2θ ≤ 70°), by angle:
- hkl 0 1 0, 9.90 deg, rel. 1000
- hkl 1 0 0, 12.33 deg, rel. 539
- hkl 1 1 -2, 23.69 deg, rel. 405
- hkl 1 -2 1, 24.31 deg, rel. 375
- hkl 1 -1 2, 25.27 deg, rel. 303
- hkl 2 1 -1, 28.21 deg, rel. 292

---

Record 5
This entry pairs a crystal structure of Zn2SO6 with its simulated powder diffractogram. Radiation: Cu Ka. Structure: a cell relaxed with GGA-PBE.
No peak broadening, texture or thermal motion is included.

Cell and atoms:
Lattice parameters (Å, degrees): 4.6384 6.7675 14.9917 90.00 90.00 90.00
Space group P2_12_12_1 (No. 19)
Unique sites:
Zn (0.1425, 0.1414, 0.1540)
Zn (0.2360, 0.4451, 0.0053)
S (0.2303, 0.1985, 0.3710)
O (0.0072, 0.8205, 0.9239)
O (0.0159, 0.0402, 0.3902)
O (0.0872, 0.7982, 0.5593)
O (0.0946, 0.3968, 0.3962)
O (0.2062, 0.7997, 0.7741)
O (0.2447, 0.7648, 0.3383)

The 6 most intense peaks (5° ≤ 2θ ≤ 70°), by angle:
- hkl 0 0 2, 11.81 deg, rel. 518
- hkl 1 1 1, 24.00 deg, rel. 762
- hkl 1 1 2, 26.15 deg, rel. 1000
- hkl 0 2 1, 27.01 deg, rel. 412
- hkl 1 1 4, 33.47 deg, rel. 667
- hkl 1 2 3, 37.50 deg, rel. 383

---

Record 6
This entry pairs a crystal structure of Zn2S2O11 with its simulated powder diffractogram. Radiation: Cu Ka. Structure: a cell relaxed with GGA-PBE.
No peak broadening, texture or thermal motion is included.

Cell and atoms:
Lattice parameters (Å, degrees): 7.0628 8.3693 9.3288 94.24 90.46 90.07
Space group P-1 (No. 2)
Unique sites:
Zn (0.0000, 0.0000, 0.0000)
Zn (0.0144, 0.4907, 0.2746)
Zn (0.5000, 0.5000, 0.5000)
S (0.1475, 0.7342, 0.4952)
S (0.2311, 0.3807, 0.9819)
O (0.0103, 0.2947, 0.6158)
O (0.0713, 0.7084, 0.6434)
O (0.0880, 0.2487, 0.9616)
O (0.1821, 0.0134, 0.1863)
O (0.2003, 0.5012, 0.8704)
O (0.2209, 0.4665, 0.1306)
O (0.2643, 0.5663, 0.4493)
O (0.2776, 0.9155, 0.9709)
O (0.3276, 0.9495, 0.1096)
O (0.3763, 0.1944, 0.4851)
O (0.4213, 0.2377, 0.3658)

The 6 most intense peaks (5° ≤ 2θ ≤ 70°), by angle:
- hkl 0 1 0, 10.60 deg, rel. 1000
- hkl 1 0 0, 12.53 deg, rel. 938
- hkl 0 1 -1, 13.72 deg, rel. 513
- hkl 0 0 2, 19.08 deg, rel. 378
- hkl 1 1 -2, 24.60 deg, rel. 393
- hkl 1 2 -1, 25.99 deg, rel. 474

---

Record 7
This entry pairs a crystal structure of Zr3SO9 with its simulated powder diffractogram. Radiation: Cu Ka. Structure: a cell relaxed with GGA-PBE.
No peak broadening, texture or thermal motion is included.

Cell and atoms:
Lattice parameters (Å, degrees): 6.4395 6.4395 9.9121 90.00 90.00 120.00
Space group P-3 (No. 147)
Unique sites:
Zr (0.0329, 0.6995, 0.1449)
S (0.3333, 0.6667, 0.6577)
O (0.0000, 0.0000, 0.2116)
O (0.0016, 0.6678, 0.9306)
O (0.1127, 0.4398, 0.6255)
O (0.3333, 0.6667, 0.2128)
O (0.3333, 0.6667, 0.8147)

The 6 most intense peaks (5° ≤ 2θ ≤ 70°), by angle:
- hkl 0 0 1, 8.92 deg, rel. 1000
- hkl 2 -1 1, 29.16 deg, rel. 534
- hkl 2 -1 2, 33.18 deg, rel. 238
- hkl 2 -1 4, 46.23 deg, rel. 126
- hkl 3 0 0, 49.00 deg, rel. 185
- hkl 2 -1 5, 54.35 deg, rel. 159

---

Record 8
This entry pairs a crystal structure of ZrS2O9 with its simulated powder diffractogram. Radiation: Cu Ka. Structure: a cell relaxed with GGA-PBE.
No peak broadening, texture or thermal motion is included.

Cell and atoms:
Lattice parameters (Å, degrees): 7.5078 8.6765 11.9665 90.00 106.39 90.00
Space group P2_1/c (No. 14)
Unique sites:
Zr (0.0920, 0.2438, 0.1082)
S (0.1980, 0.0517, 0.3778)
S (0.2488, 0.6116, 0.5256)
O (0.0310, 0.5556, 0.8504)
O (0.1167, 0.7216, 0.5615)
O (0.1487, 0.1787, 0.2891)
O (0.1575, 0.6010, 0.3957)
O (0.2082, 0.1231, 0.4938)
O (0.2261, 0.0442, 0.0779)
O (0.3632, 0.5291, 0.8771)
O (0.3722, 0.1604, 0.7037)
O (0.4392, 0.6580, 0.5594)

The 6 most intense peaks (5° ≤ 2θ ≤ 70°), by angle:
- hkl 1 0 0, 12.29 deg, rel. 1000
- hkl 0 0 2, 15.44 deg, rel. 314
- hkl 0 1 2, 18.53 deg, rel. 358
- hkl 1 1 -2, 19.70 deg, rel. 620
- hkl 1 2 -1, 24.07 deg, rel. 410
- hkl 1 2 -2, 26.61 deg, rel. 330